The following is a calculated powder XRD pattern of Sr3NiAs3. It was derived from DFT lattice parameters and positions (PBE), using Cu Kα, 1.54184 Å.

Largest 8 diffraction maxima, in order of rising 2θ, 15 to 90 degrees two-theta:
- 2θ 27.59, d = 3.233 Å, I = 28, (0 2 0)
- 2θ 28.14, d = 3.171 Å, I = 100, (6 0 0)
- 2θ 30.03, d = 2.976 Å, I = 24, (2 2 1)
- 2θ 34.28, d = 2.616 Å, I = 17, (4 2 1)
- 2θ 39.83, d = 2.263 Å, I = 86, (6 2 0)
- 2θ 40.22, d = 2.242 Å, I = 56, (6 0 4)
- 2θ 49.48, d = 1.842 Å, I = 21, (6 2 4)
- 2θ 58.18, d = 1.586 Å, I = 17, (12 0 0)

Cell: 19.0121 6.4661 12.6943 Å, 90.00 90.00 90.00°
Space group Cmce (No. 64)
Inequivalent atoms, fractional coordinates:
Sr: 0.0000 0.1772 0.1481 x8
Sr: 0.1752 0.1968 0.8708 x16
Ni: 0.0782 0.0000 0.5000 x8
As: 0.0000 0.1953 0.3992 x8
As: 0.1561 0.1926 0.6159 x16

---

The following is a calculated powder XRD pattern of SrNi4As3. It was derived from DFT lattice parameters and positions (PBE), using Cu Kα, 1.54184 Å.

Largest 8 diffraction maxima, in order of rising 2θ, 15 to 90 degrees two-theta:
- 2θ 30.55, d = 2.926 Å, I = 100, (1 0 2)
- 2θ 33.75, d = 2.655 Å, I = 40, (1 1 1)
- 2θ 45.02, d = 2.014 Å, I = 56, (1 1 3)
- 2θ 46.05, d = 1.971 Å, I = 64, (2 0 0)
- 2θ 53.29, d = 1.719 Å, I = 37, (1 1 4)
- 2θ 56.28, d = 1.635 Å, I = 38, (2 1 2)
- 2θ 67.17, d = 1.394 Å, I = 20, (2 2 0)
- 2θ 84.56, d = 1.146 Å, I = 16, (3 1 3)

Cell: 3.9418 3.9418 8.7359 Å, 90.00 90.00 90.00°
Space group P4/mmm (No. 123)
Inequivalent atoms, fractional coordinates:
Sr: 0.0000 0.0000 0.0000 x1
Ni: 0.0000 0.5000 0.3447 x4
As: 0.0000 0.0000 0.5000 x1
As: 0.5000 0.5000 0.1978 x2

---

The following is a calculated powder XRD pattern of TaNi9As2. It was derived from DFT lattice parameters and positions (PBE), using Cu Kα, 1.54184 Å.

Largest 8 diffraction maxima, in order of rising 2θ, 15 to 90 degrees two-theta:
- 2θ 16.30, d = 5.438 Å, I = 4, (0 0 2)
- 2θ 24.55, d = 3.625 Å, I = 7, (1 0 0)
- 2θ 25.91, d = 3.439 Å, I = 4, (1 0 1)
- 2θ 35.00, d = 2.564 Å, I = 6, (1 1 0)
- 2θ 43.22, d = 2.093 Å, I = 100, (1 1 3)
- 2θ 50.34, d = 1.813 Å, I = 47, (2 0 0)
- 2θ 73.95, d = 1.282 Å, I = 28, (2 2 0)
- 2θ 89.70, d = 1.093 Å, I = 34, (3 1 3)

Cell: 3.6254 3.6254 10.8761 Å, 90.00 90.00 90.00°
Space group P4/mmm (No. 123)
Inequivalent atoms, fractional coordinates:
Ta: 0.0000 0.0000 0.0000 x1
Ni: 0.0000 0.5000 0.1680 x4
Ni: 0.0000 0.5000 0.5000 x2
Ni: 0.5000 0.5000 0.0000 x1
Ni: 0.5000 0.5000 0.3345 x2
As: 0.0000 0.0000 0.3397 x2

---

The following is a calculated powder XRD pattern of TbNi3As2. It was derived from DFT lattice parameters and positions (PBE), using Cu Kα, 1.54184 Å.

Largest 8 diffraction maxima, in order of rising 2θ, 15 to 90 degrees two-theta:
- 2θ 32.41, d = 2.762 Å, I = 41, (3 1 -2)
- 2θ 36.14, d = 2.486 Å, I = 30, (6 0 0)
- 2θ 36.96, d = 2.432 Å, I = 100, (1 1 -3)
- 2θ 37.11, d = 2.423 Å, I = 58, (5 1 -1)
- 2θ 38.34, d = 2.348 Å, I = 32, (3 1 2)
- 2θ 41.62, d = 2.170 Å, I = 23, (5 1 1)
- 2θ 46.04, d = 1.972 Å, I = 23, (6 0 -4)
- 2θ 46.94, d = 1.936 Å, I = 64, (0 2 0)

Cell: 15.5489 3.8708 9.4139 Å, 90.00 106.43 90.00°
Space group C2/m (No. 12)
Inequivalent atoms, fractional coordinates:
Tb: 0.0000 0.0000 0.0000 x2
Tb: 0.1553 0.0000 0.7013 x4
Ni: 0.0000 0.5000 0.5000 x2
Ni: 0.0455 0.0000 0.3436 x4
Ni: 0.1259 0.5000 0.2038 x4
Ni: 0.1737 0.5000 0.9678 x4
Ni: 0.2153 0.0000 0.3880 x4
As: 0.0332 0.5000 0.7824 x4
As: 0.1414 0.5000 0.4567 x4
As: 0.1999 0.0000 0.1280 x4

---

The following is a calculated powder XRD pattern of TbNiAs3. It was derived from DFT lattice parameters and positions (PBE), using Cu Kα, 1.54184 Å.

Largest 8 diffraction maxima, in order of rising 2θ, 15 to 90 degrees two-theta:
- 2θ 23.69, d = 3.756 Å, I = 32, (1 1 1)
- 2θ 27.05, d = 3.296 Å, I = 25, (2 1 1)
- 2θ 35.35, d = 2.539 Å, I = 55, (2 2 0)
- 2θ 35.53, d = 2.527 Å, I = 37, (2 0 2)
- 2θ 37.81, d = 2.380 Å, I = 100, (4 1 1)
- 2θ 39.47, d = 2.283 Å, I = 23, (3 0 2)
- 2θ 45.85, d = 1.979 Å, I = 49, (0 2 2)
- 2θ 60.82, d = 1.523 Å, I = 23, (5 2 2)

Cell: 11.9069 5.6149 5.5818 Å, 90.00 90.00 90.00°
Space group Pbcm (No. 57)
Inequivalent atoms, fractional coordinates:
Tb: 0.1915 0.0006 0.2500 x4
Ni: 0.4091 0.7500 0.0000 x4
As: 0.0019 0.7500 0.0000 x4
As: 0.2819 0.0064 0.7500 x4
As: 0.4400 0.1146 0.2500 x4

---

The following is a calculated powder XRD pattern of TbNi3As3. It was derived from DFT lattice parameters and positions (PBE), using Cu Kα, 1.54184 Å.

Largest 8 diffraction maxima, in order of rising 2θ, 15 to 90 degrees two-theta:
- 2θ 27.87, d = 3.201 Å, I = 43, (2 0 0)
- 2θ 34.31, d = 2.614 Å, I = 100, (2 1 1)
- 2θ 53.56, d = 1.711 Å, I = 55, (3 2 1)
- 2θ 57.59, d = 1.601 Å, I = 21, (4 0 0)
- 2θ 65.17, d = 1.432 Å, I = 15, (4 2 0)
- 2θ 68.78, d = 1.365 Å, I = 13, (3 3 2)
- 2θ 82.53, d = 1.169 Å, I = 16, (5 2 1)
- 2θ 85.87, d = 1.132 Å, I = 13, (4 4 0)

Cell: 6.4021 6.4021 6.4021 Å, 90.00 90.00 90.00°
Space group Pm-3n (No. 223)
Inequivalent atoms, fractional coordinates:
Tb: 0.0000 0.0000 0.0000 x2
Ni: 0.0000 0.2500 0.5000 x6
As: 0.0000 0.5000 0.2500 x6

---

The following is a calculated powder XRD pattern of Tb2Ni12As7. It was derived from DFT lattice parameters and positions (PBE), using Cu Kα, 1.54184 Å.

Largest 8 diffraction maxima, in order of rising 2θ, 15 to 90 degrees two-theta:
- 2θ 32.04, d = 2.793 Å, I = 15, (2 0 1)
- 2θ 33.14, d = 2.703 Å, I = 13, (3 0 0)
- 2θ 37.49, d = 2.399 Å, I = 100, (1 2 1)
- 2θ 46.77, d = 1.942 Å, I = 20, (3 1 1)
- 2θ 47.18, d = 1.927 Å, I = 26, (0 0 2)
- 2θ 51.65, d = 1.770 Å, I = 23, (4 1 0)
- 2θ 54.79, d = 1.675 Å, I = 18, (2 3 1)
- 2θ 72.53, d = 1.303 Å, I = 16, (4 1 2)

Cell: 9.3643 9.3643 3.8530 Å, 90.00 90.00 120.00°
Space group P-6 (No. 174)
Inequivalent atoms, fractional coordinates:
Tb: 0.0000 0.0000 0.0000 x1
Tb: 0.3333 0.6667 0.5000 x1
Ni: 0.0432 0.7582 0.5000 x3
Ni: 0.1049 0.3901 0.0000 x3
Ni: 0.3867 0.2041 0.0000 x3
Ni: 0.5530 0.1250 0.5000 x3
As: 0.0699 0.6203 0.0000 x3
As: 0.2606 0.0350 0.5000 x3
As: 0.6667 0.3333 0.0000 x1

---

The following is a calculated powder XRD pattern of Tb2Ni5As3. It was derived from DFT lattice parameters and positions (PBE), using Cu Kα, 1.54184 Å.

Largest 8 diffraction maxima, in order of rising 2θ, 15 to 90 degrees two-theta:
- 2θ 35.40, d = 2.536 Å, I = 21, (0 6 2)
- 2θ 36.83, d = 2.440 Å, I = 100, (1 3 2)
- 2θ 37.31, d = 2.410 Å, I = 73, (1 7 1)
- 2θ 40.65, d = 2.219 Å, I = 38, (0 10 1)
- 2θ 41.09, d = 2.197 Å, I = 26, (1 9 0)
- 2θ 44.81, d = 2.023 Å, I = 41, (2 0 0)
- 2θ 62.08, d = 1.495 Å, I = 21, (2 10 1)
- 2θ 71.16, d = 1.325 Å, I = 20, (1 13 3)

Cell: 4.0456 23.5473 6.6451 Å, 90.00 90.00 90.00°
Space group Cmc2_1 (No. 36)
Inequivalent atoms, fractional coordinates:
Tb: 0.0000 0.0222 0.0000 x4
Tb: 0.0000 0.3251 0.9970 x4
Ni: 0.0000 0.0917 0.6055 x4
Ni: 0.0000 0.2099 0.1578 x4
Ni: 0.0000 0.2221 0.7652 x4
Ni: 0.0000 0.3738 0.5362 x4
Ni: 0.0000 0.4453 0.8349 x4
As: 0.0000 0.1141 0.2630 x4
As: 0.0000 0.2739 0.4576 x4
As: 0.0000 0.4459 0.2206 x4